Structure and simulated X-ray diffraction stick pattern of MgV3CrO10 (a structure optimized by DFT (PBE+U); copper Kα).
Kinematic intensities with the Lorentz-polarization factor, no thermal factor.

Crystal structure
Cell: 5.432 6.478 6.620 Å, 90.01 92.21 93.92°
Fractional coordinates of all 15 atoms:
Mg 0.000 0.000 0.000
V 0.499 0.966 0.696
V 0.606 0.469 0.672
V 0.706 0.476 0.164
Cr 0.558 0.966 0.191
O 0.347 0.967 0.968
O 0.401 0.952 0.410
O 0.407 0.251 0.675
O 0.408 0.457 0.146
O 0.420 0.670 0.690
O 0.771 0.484 0.443
O 0.785 0.774 0.145
O 0.788 0.185 0.159
O 0.807 0.990 0.737
O 0.808 0.472 0.888

Peak list (10 most intense, 2θ from 5° to 70°, sorted by position)
13.38 deg, intensity 7, hkl 0 0 1
16.37 deg, intensity 100, hkl 1 0 0
21.61 deg, intensity 9, hkl 1 0 1
22.13 deg, intensity 9, hkl 1 1 0
26.96 deg, intensity 29, hkl 0 0 2
27.60 deg, intensity 42, hkl 0 2 0
31.14 deg, intensity 17, hkl 1 0 -2
31.25 deg, intensity 14, hkl 1 -2 0
32.25 deg, intensity 18, hkl 1 0 2
33.24 deg, intensity 8, hkl 1 2 0